CsNbCu2F8: computed powder diffraction line list (Cu Kα X-rays), based on a crystal structure in Alexandria, relaxed with PBE.
Lines closer than 0.1° are merged.

Crystal structure
Unit cell a=9.0937 b=9.0937 c=9.0937 alpha=35.05 beta=35.05 gamma=35.05
Positions (direct):
Cs 0.0000 0.0000 0.0000
Nb 0.5000 0.5000 0.5000
Cu 0.2669 0.2669 0.2669
Cu 0.7331 0.7331 0.7331
F 0.1254 0.5791 0.6592
F 0.3388 0.3388 0.3388
F 0.3408 0.4209 0.8746
F 0.4209 0.8746 0.3408
F 0.5791 0.6592 0.1254
F 0.6592 0.1254 0.5791
F 0.6612 0.6612 0.6612
F 0.8746 0.3408 0.4209

The 10 most intense peaks (5° ≤ 2θ ≤ 70°), in order of rising 2θ:
2theta	d_spacing	intensity
23.35	3.809	1000
32.71	2.738	416
33.81	2.651	209
34.40	2.607	118
39.10	2.304	94
40.58	2.223	85
47.75	1.905	175
53.06	1.726	199
54.56	1.682	159
59.08	1.564	89